Li5Mn2Co3O10: theoretical X-ray powder pattern (a wavelength of 1.5418 Å), based on a cell relaxed with GGA+U.

Main lines, in order of falling intensity (2θ from 10° to 90°):
- 2θ = 18.45°, 4.809 Å, I = 100.0
- 2θ = 43.56°, 2.078 Å, I = 98.5
- 2θ = 12.70°, 6.969 Å, I = 63.4
- 2θ = 43.96°, 2.060 Å, I = 48.3
- 2θ = 63.64°, 1.462 Å, I = 26.2
- 2θ = 37.40°, 2.404 Å, I = 19.2
- 2θ = 35.86°, 2.504 Å, I = 18.4
- 2θ = 37.79°, 2.380 Å, I = 17.8
- 2θ = 22.97°, 3.873 Å, I = 17.0
- 2θ = 26.87°, 3.317 Å, I = 15.3

Crystal structure
```
Li5Mn2Co3O10
1.0
5.0884 0.0000 0.0000
0.8578 5.0158 0.0000
2.4381 2.1287 6.9690
Li Mn Co O
5 2 3 10
Direct
0.0000 0.0000 0.0000 Li
0.9995 0.1842 0.6191 Li
0.0154 0.3798 0.1970 Li
0.5015 0.2804 0.9118 Li
0.9976 0.5662 0.8168 Li
0.4955 0.8855 0.7132 Mn
0.5074 0.6810 0.1065 Mn
0.0024 0.7773 0.4116 Co
0.5012 0.0860 0.3082 Co
0.5015 0.4779 0.5205 Co
0.2663 0.2118 0.7553 O
0.2725 0.8550 0.5517 O
0.2737 0.0081 0.1726 O
0.2759 0.4340 0.3405 O
0.2779 0.6518 0.9536 O
0.7252 0.7537 0.2571 O
0.7249 0.9108 0.8682 O
0.7267 0.3405 0.0809 O
0.7278 0.1107 0.4675 O
0.7443 0.5559 0.6597 O
```

Li5Fe2Ir2O10: theoretical X-ray powder pattern (a wavelength of 1.5418 Å), based on a cell relaxed with GGA+U.

Main lines, in order of falling intensity (2θ from 10° to 90°):
- 2θ = 18.21°, 4.872 Å, I = 100.0
- 2θ = 19.17°, 4.630 Å, I = 48.0
- 2θ = 42.38°, 2.133 Å, I = 40.5
- 2θ = 21.90°, 4.058 Å, I = 34.6
- 2θ = 34.70°, 2.585 Å, I = 34.6
- 2θ = 42.98°, 2.105 Å, I = 19.4
- 2θ = 36.35°, 2.472 Å, I = 17.6
- 2θ = 29.73°, 3.005 Å, I = 16.7
- 2θ = 35.39°, 2.536 Å, I = 16.5
- 2θ = 23.31°, 3.817 Å, I = 16.0

Crystal structure
```
Li5Fe2Ir2O10
1.0
2.5753 -7.6332 0.0000
2.5753 7.6332 0.0000
-1.7144 0.0000 4.8724
Li Fe Ir O
5 2 2 10
Direct
0.0000 0.0000 0.0000 Li
0.1031 0.8969 0.5000 Li
0.2992 0.7008 0.5000 Li
0.5061 0.4939 0.5000 Li
0.8989 0.1011 0.5000 Li
0.1995 0.8005 0.0000 Fe
0.8021 0.1979 0.0000 Fe
0.4024 0.5976 0.0000 Ir
0.6028 0.3972 0.0000 Ir
0.0693 0.4598 0.7759 O
0.1487 0.3554 0.2287 O
0.2805 0.2740 0.7707 O
0.3519 0.1473 0.2193 O
0.4549 0.0521 0.7780 O
0.5402 0.9307 0.2241 O
0.6446 0.8513 0.7713 O
0.7260 0.7195 0.2293 O
0.8527 0.6481 0.7807 O
0.9479 0.5451 0.2220 O
```

Li8Mn3Fe5B8O24: theoretical X-ray powder pattern (a wavelength of 1.5418 Å), based on a cell relaxed with GGA+U.

Main lines, in order of falling intensity (2θ from 10° to 90°):
- 2θ = 34.40°, 2.607 Å, I = 100.0
- 2θ = 19.58°, 4.534 Å, I = 68.5
- 2θ = 21.51°, 4.132 Å, I = 63.5
- 2θ = 34.20°, 2.622 Å, I = 54.5
- 2θ = 40.48°, 2.228 Å, I = 44.1
- 2θ = 25.74°, 3.461 Å, I = 44.1
- 2θ = 21.39°, 4.155 Å, I = 38.1
- 2θ = 34.29°, 2.615 Å, I = 31.8
- 2θ = 26.30°, 3.389 Å, I = 29.6
- 2θ = 48.41°, 1.880 Å, I = 28.5

Crystal structure
```
Li8Mn3Fe5B8O24
1.0
5.2310 0.0000 0.0000
-2.6054 4.5461 0.0000
-0.3069 -0.4088 20.8553
Li Mn Fe B O
8 3 5 8 24
Direct
0.0000 0.0000 0.0000 Li
0.9998 0.0005 0.4996 Li
0.0136 0.9942 0.2495 Li
0.0151 0.9938 0.7496 Li
0.3141 0.3299 0.6256 Li
0.3150 0.3299 0.1262 Li
0.3407 0.3069 0.3748 Li
0.3416 0.3058 0.8748 Li
0.3313 0.6577 0.9841 Mn
0.3345 0.6604 0.4833 Mn
0.6650 0.9799 0.8578 Mn
0.6673 0.3210 0.7321 Fe
0.6666 0.9748 0.3575 Fe
0.6749 0.3213 0.2328 Fe
0.9778 0.6522 0.6083 Fe
0.9782 0.6550 0.1086 Fe
0.0002 0.6514 0.3538 B
0.0031 0.6516 0.8535 B
0.3306 0.6595 0.2295 B
0.3312 0.6624 0.7285 B
0.6581 0.9911 0.1055 B
0.6590 0.9914 0.6051 B
0.6665 0.3200 0.9802 B
0.6679 0.3207 0.4791 B
0.0219 0.9260 0.3473 O
0.0329 0.9276 0.8468 O
0.0805 0.6849 0.2150 O
0.0820 0.6873 0.7142 O
0.2409 0.6208 0.8747 O
0.2470 0.6331 0.3732 O
0.3176 0.3915 0.2228 O
0.3182 0.3940 0.7222 O
0.3918 0.2953 0.9726 O
0.3930 0.2964 0.4720 O
0.4033 0.7233 0.0913 O
0.4041 0.7247 0.5908 O
0.5927 0.9099 0.2494 O
0.5956 0.9120 0.7485 O
0.6382 0.2361 0.1242 O
0.6387 0.2368 0.6240 O
0.7014 0.0781 0.4635 O
0.7008 0.0776 0.9647 O
0.7318 0.4021 0.8382 O
0.7326 0.3974 0.3398 O
0.9078 0.5836 0.0016 O
0.9096 0.5837 0.5008 O
0.9330 0.0127 0.0990 O
0.9337 0.0133 0.5986 O
```

Sr2YMn2GaO7: theoretical X-ray powder pattern (a wavelength of 1.5418 Å), based on a cell relaxed with GGA+U.

Main lines, in order of falling intensity (2θ from 10° to 90°):
- 2θ = 32.50°, 2.755 Å, I = 100.0
- 2θ = 44.51°, 2.036 Å, I = 34.4
- 2θ = 31.44°, 2.846 Å, I = 32.0
- 2θ = 30.69°, 2.914 Å, I = 27.6
- 2θ = 56.64°, 1.625 Å, I = 20.6
- 2θ = 55.71°, 1.650 Å, I = 16.4
- 2θ = 38.98°, 2.311 Å, I = 12.8
- 2θ = 48.66°, 1.871 Å, I = 8.1
- 2θ = 68.06°, 1.378 Å, I = 7.8
- 2θ = 59.09°, 1.563 Å, I = 7.1

Crystal structure
```
Sr2YMn2GaO7
1.0
-11.2270 2.9135 2.8456
11.2270 -2.9135 2.8456
11.2270 2.9135 -2.8456
Sr Y Mn Ga O
4 2 4 2 14
Direct
0.0268 0.1511 0.1780 Sr
0.0268 0.3489 0.3757 Sr
0.9732 0.6511 0.6243 Sr
0.9732 0.8489 0.8220 Sr
0.9881 0.4881 0.5000 Y
0.9881 0.9881 0.0000 Y
0.4891 0.5727 0.0785 Mn
0.4891 0.9106 0.4164 Mn
0.4942 0.0727 0.5836 Mn
0.4942 0.4106 0.9215 Mn
0.4522 0.7789 0.1732 Ga
0.6057 0.2789 0.8268 Ga
0.4053 0.1397 0.6203 O
0.4053 0.2849 0.7656 O
0.4850 0.1722 0.1807 O
0.4850 0.8043 0.8128 O
0.5021 0.3085 0.3181 O
0.5021 0.6840 0.6936 O
0.5193 0.6397 0.2344 O
0.5193 0.7849 0.3797 O
0.7309 0.1152 0.1157 O
0.9904 0.1840 0.6819 O
0.9904 0.8085 0.3064 O
0.9915 0.3043 0.8193 O
0.9915 0.6722 0.1872 O
0.9995 0.6152 0.8843 O
```

Li7Co5O12: theoretical X-ray powder pattern (a wavelength of 1.5418 Å), based on a cell relaxed with GGA+U.

Main lines, in order of falling intensity (2θ from 10° to 90°):
- 2θ = 18.48°, 4.801 Å, I = 100.0
- 2θ = 43.17°, 2.095 Å, I = 29.0
- 2θ = 43.96°, 2.060 Å, I = 27.2
- 2θ = 44.47°, 2.037 Å, I = 26.1
- 2θ = 63.32°, 1.469 Å, I = 14.9
- 2θ = 35.72°, 2.514 Å, I = 14.6
- 2θ = 36.25°, 2.478 Å, I = 12.8
- 2θ = 36.65°, 2.452 Å, I = 12.3
- 2θ = 47.92°, 1.898 Å, I = 8.8
- 2θ = 63.43°, 1.467 Å, I = 7.3

Crystal structure
```
Li7Co5O12
1.0
7.7105 0.0000 0.0000
-2.7807 7.2089 0.0000
-2.5413 -3.2814 7.5937
Li Co O
14 10 24
Direct
0.0000 0.0000 0.0000 Li
0.9996 0.4970 0.4985 Li
0.0782 0.2009 0.6180 Li
0.0839 0.7008 0.1215 Li
0.1626 0.4040 0.2395 Li
0.1683 0.9077 0.7408 Li
0.3203 0.3161 0.9794 Li
0.3238 0.8204 0.4807 Li
0.5023 0.2385 0.7438 Li
0.5061 0.7447 0.2447 Li
0.6672 0.1668 0.5003 Li
0.6671 0.6696 0.9992 Li
0.8362 0.0779 0.2565 Li
0.8402 0.5823 0.7597 Li
0.2434 0.1162 0.3724 Co
0.2432 0.6158 0.8713 Co
0.4083 0.5275 0.6154 Co
0.4158 0.0285 0.1234 Co
0.5831 0.4519 0.3694 Co
0.5850 0.9538 0.8725 Co
0.7583 0.3811 0.1202 Co
0.7595 0.8782 0.6221 Co
0.9186 0.2855 0.8662 Co
0.9230 0.7882 0.3693 Co
0.0247 0.1087 0.8110 O
0.0257 0.6086 0.3112 O
0.1394 0.2950 0.4302 O
0.1431 0.7923 0.9282 O
0.1892 0.4984 0.0313 O
0.1947 0.0053 0.5320 O
0.2928 0.2143 0.1980 O
0.3024 0.7220 0.6963 O
0.3671 0.4561 0.8068 O
0.3688 0.9502 0.3045 O
0.4629 0.1327 0.9403 O
0.4634 0.6302 0.4388 O
0.5119 0.3321 0.5424 O
0.5405 0.8542 0.0575 O
0.6483 0.0679 0.6977 O
0.6522 0.5743 0.1994 O
0.7012 0.2756 0.3015 O
0.7031 0.7718 0.8001 O
0.7943 0.4542 0.9351 O
0.7985 0.9534 0.4379 O
0.8689 0.1883 0.0422 O
0.8731 0.6876 0.5431 O
0.9532 0.3856 0.6990 O
0.9732 0.8991 0.2100 O
```

Sr2CoO4: theoretical X-ray powder pattern (a wavelength of 1.5418 Å), based on a cell relaxed with GGA+U.

Main lines, in order of falling intensity (2θ from 10° to 90°):
- 2θ = 32.55°, 2.751 Å, I = 100.0
- 2θ = 31.31°, 2.857 Å, I = 68.0
- 2θ = 31.56°, 2.835 Å, I = 66.8
- 2θ = 43.81°, 2.067 Å, I = 33.5
- 2θ = 46.34°, 1.959 Å, I = 28.1
- 2θ = 47.04°, 1.932 Å, I = 26.8
- 2θ = 57.14°, 1.612 Å, I = 24.7
- 2θ = 55.25°, 1.662 Å, I = 24.4
- 2θ = 57.60°, 1.600 Å, I = 24.1
- 2θ = 43.36°, 2.087 Å, I = 20.7

Crystal structure
```
Sr2CoO4
1.0
5.5031 0.0000 0.0000
2.7512 6.2609 0.0000
0.1570 -0.0017 11.0049
Sr Co O
8 4 16
Direct
0.0000 0.0000 0.0000 Sr
0.0018 0.9951 0.4989 Sr
0.2845 0.4294 0.4986 Sr
0.2863 0.4256 0.0001 Sr
0.4955 0.9976 0.2475 Sr
0.5035 0.9987 0.7510 Sr
0.7813 0.4275 0.2477 Sr
0.7899 0.4261 0.7510 Sr
0.1412 0.7123 0.7469 Co
0.1421 0.7126 0.2512 Co
0.6417 0.7122 0.4999 Co
0.6420 0.7127 0.9992 Co
0.2982 0.3941 0.2501 O
0.3055 0.3952 0.7472 O
0.3693 0.7119 0.1320 O
0.3824 0.7121 0.6339 O
0.4005 0.7117 0.3812 O
0.4174 0.7121 0.8840 O
0.4845 0.0304 0.9995 O
0.4919 0.0175 0.5011 O
0.7972 0.4068 0.5008 O
0.8046 0.3951 0.9991 O
0.8694 0.7133 0.1142 O
0.8890 0.7118 0.6190 O
0.9027 0.7132 0.3636 O
0.9196 0.7139 0.8666 O
0.9818 0.0310 0.2500 O
0.9887 0.0299 0.7467 O
```

CsVFeF6: theoretical X-ray powder pattern (a wavelength of 1.5418 Å), based on a cell relaxed with GGA+U.

Main lines, in order of falling intensity (2θ from 10° to 90°):
- 2θ = 27.57°, 3.235 Å, I = 100.0
- 2θ = 27.99°, 3.188 Å, I = 62.8
- 2θ = 48.17°, 1.889 Å, I = 48.7
- 2θ = 23.55°, 3.778 Å, I = 47.0
- 2θ = 27.67°, 3.224 Å, I = 30.2
- 2θ = 44.49°, 2.037 Å, I = 22.4
- 2θ = 43.69°, 2.072 Å, I = 18.5
- 2θ = 28.73°, 3.108 Å, I = 15.4
- 2θ = 29.24°, 3.054 Å, I = 14.9
- 2θ = 47.73°, 1.905 Å, I = 13.8

Crystal structure
```
CsVFeF6
1.0
-3.7131 3.8109 5.3684
3.7131 -3.8109 5.3684
3.7131 3.8109 -5.3684
Cs V Fe F
2 2 2 12
Direct
0.3739 0.1239 0.2500 Cs
0.6261 0.8761 0.7500 Cs
0.0000 0.5000 0.5000 V
0.5000 0.5000 0.0000 V
0.0000 0.0000 0.5000 Fe
0.0000 0.5000 0.0000 Fe
0.0745 0.4321 0.2640 F
0.0745 0.8104 0.6424 F
0.0750 0.8250 0.2500 F
0.3163 0.5663 0.7500 F
0.3320 0.1896 0.7640 F
0.3320 0.5679 0.1424 F
0.6680 0.4321 0.8576 F
0.6680 0.8104 0.2360 F
0.6837 0.4337 0.2500 F
0.9250 0.1750 0.7500 F
0.9255 0.1896 0.3576 F
0.9255 0.5679 0.7360 F
```

Li4Fe7P6O24: theoretical X-ray powder pattern (a wavelength of 1.5418 Å), based on a cell relaxed with GGA+U.

Main lines, in order of falling intensity (2θ from 10° to 90°):
- 2θ = 14.02°, 6.317 Å, I = 100.0
- 2θ = 31.89°, 2.807 Å, I = 88.9
- 2θ = 33.14°, 2.703 Å, I = 70.5
- 2θ = 23.55°, 3.778 Å, I = 62.8
- 2θ = 12.40°, 7.139 Å, I = 53.7
- 2θ = 37.83°, 2.378 Å, I = 49.7
- 2θ = 40.91°, 2.206 Å, I = 24.3
- 2θ = 10.51°, 8.420 Å, I = 17.7
- 2θ = 41.61°, 2.171 Å, I = 15.9
- 2θ = 54.88°, 1.673 Å, I = 14.7

Crystal structure
```
Li4Fe7P6O24
1.0
5.4216 -7.1388 0.0000
5.4216 7.1388 0.0000
-1.8062 0.0000 6.3173
Li Fe P O
4 7 6 24
Direct
0.0000 0.0000 0.0000 Li
0.3279 0.5587 0.0005 Li
0.5587 0.3279 0.0005 Li
0.6270 0.6270 0.9163 Li
0.3241 0.6613 0.4952 Fe
0.3542 0.9947 0.3163 Fe
0.6343 0.9891 0.6747 Fe
0.6613 0.3241 0.4952 Fe
0.9891 0.6343 0.6747 Fe
0.9947 0.3542 0.3163 Fe
0.9954 0.9954 0.4995 Fe
0.0770 0.7126 0.1929 P
0.2738 0.8988 0.7985 P
0.3202 0.3202 0.5812 P
0.6671 0.6671 0.4032 P
0.7126 0.0770 0.1929 P
0.8988 0.2738 0.7985 P
0.0136 0.3510 0.0123 O
0.0247 0.6159 0.3604 O
0.0945 0.8910 0.7416 O
0.0994 0.8953 0.2570 O
0.1907 0.1907 0.6275 O
0.2419 0.4205 0.4474 O
0.2523 0.7059 0.1979 O
0.2658 0.7184 0.7861 O
0.3510 0.0136 0.0123 O
0.3702 0.9465 0.6278 O
0.4205 0.2419 0.4474 O
0.4332 0.4332 0.7873 O
0.5614 0.5614 0.1897 O
0.5656 0.7400 0.5426 O
0.6159 0.0247 0.3604 O
0.6483 0.9592 0.9784 O
0.7059 0.2523 0.1979 O
0.7184 0.2658 0.7861 O
0.7400 0.5656 0.5426 O
0.7998 0.7998 0.3681 O
0.8910 0.0945 0.7416 O
0.8953 0.0994 0.2570 O
0.9465 0.3702 0.6278 O
0.9592 0.6483 0.9784 O
```